Record 1
This entry pairs a crystal structure of Nb4Co2Si5 with its computed PXRD pattern. Radiation: Cu Kα (weighted mean of Kα1 and Kα2). Structure: a crystal structure in Alexandria, relaxed with PBE.
Lines closer than 0.1° are merged.

Structure:
Cell: 7.9341 15.8078 4.9905 Å, 90.00 90.00 90.00°
Space group Ibam (No. 72)
Unique sites:
1 Nb 0.1088 0.1411 0.0000 [8 per cell]
2 Nb 0.2418 0.4379 0.0000 [8 per cell]
3 Co 0.0000 0.3016 0.2500 [8 per cell]
4 Si 0.0000 0.0000 0.2500 [4 per cell]
5 Si 0.0788 0.4222 0.5000 [8 per cell]
6 Si 0.2039 0.2213 0.5000 [8 per cell]

Peak list (10 most intense, 2θ = 10–90°, in order of rising 2θ)
hkl, d [Å], 2theta, I (rel.)
2 2 0, 3.546, 25.12, 31
1 4 1, 2.886, 30.99, 50
0 0 2, 2.495, 35.99, 31
3 3 0, 2.364, 38.07, 27
3 2 1, 2.241, 40.24, 100
1 6 1, 2.235, 40.35, 60
2 5 1, 2.215, 40.73, 34
1 7 0, 2.170, 41.61, 89
2 0 2, 2.111, 42.83, 48
3 2 3, 1.386, 67.60, 33


Record 2
This entry pairs a crystal structure of Nb4Co3Si7 with its computed PXRD pattern. Radiation: Cu Kα (weighted mean of Kα1 and Kα2). Structure: a crystal structure in Alexandria, relaxed with PBE.
Lines closer than 0.1° are merged.

Structure:
Cell: 4.9403 17.2861 18.0917 Å, 90.00 90.00 90.00°
Space group F222 (No. 22)
Unique sites:
1 Nb 0.0000 0.0000 0.1336 [8 per cell]
2 Nb 0.0000 0.1363 0.0000 [8 per cell]
3 Nb 0.0096 0.0973 0.5988 [16 per cell]
4 Co 0.2500 0.0988 0.2500 [8 per cell]
5 Co 0.2500 0.1358 0.7500 [8 per cell]
6 Co 0.2500 0.2500 0.0990 [8 per cell]
7 Si 0.0000 0.0000 0.2885 [8 per cell]
8 Si 0.0000 0.2067 0.5000 [8 per cell]
9 Si 0.0135 0.2500 0.2500 [8 per cell]
10 Si 0.0311 0.1456 0.1485 [16 per cell]
11 Si 0.2464 0.0000 0.5000 [8 per cell]
12 Si 0.2500 0.2500 0.6080 [8 per cell]

Peak list (10 most intense, 2θ = 10–90°, in order of rising 2θ)
hkl, d [Å], 2theta, I (rel.)
1 3 5, 2.604, 34.44, 34
1 5 3, 2.564, 35.00, 31
1 1 7, 2.270, 39.70, 46
0 0 8, 2.261, 39.86, 40
1 5 5, 2.230, 40.44, 75
1 7 1, 2.193, 41.17, 48
0 8 0, 2.161, 41.81, 32
2 2 4, 2.103, 43.01, 48
0 6 6, 2.085, 43.39, 100
2 4 10, 1.383, 67.74, 37


Record 3
This entry pairs a crystal structure of SmNbCo with its computed PXRD pattern. Radiation: Cu Kα (weighted mean of Kα1 and Kα2). Structure: a crystal structure in Alexandria, relaxed with PBE.
Lines closer than 0.1° are merged.

Structure:
Cell: 10.8517 4.5901 4.7249 Å, 90.00 90.00 90.00°
Space group Amm2 (No. 38)
Unique sites:
1 Sm 0.1617 0.0000 0.0000 [4 per cell]
2 Nb 0.3759 0.0000 0.5034 [4 per cell]
3 Co 0.0000 0.0000 0.5022 [2 per cell]
4 Co 0.5000 0.0000 0.9565 [2 per cell]

Peak list (10 most intense, 2θ = 10–90°, in order of rising 2θ)
hkl, d [Å], 2theta, I (rel.)
1 1 1, 3.151, 28.33, 20
2 1 1, 2.815, 31.79, 9
4 0 0, 2.713, 33.02, 7
3 1 1, 2.435, 36.92, 100
0 0 2, 2.362, 38.09, 27
0 2 0, 2.295, 39.26, 26
0 2 2, 1.646, 55.85, 18
6 1 1, 1.585, 58.20, 8
3 1 3, 1.377, 68.07, 15
3 3 1, 1.350, 69.62, 15


Record 4
This entry pairs a crystal structure of TaNbCo with its computed PXRD pattern. Radiation: Cu Kα (weighted mean of Kα1 and Kα2). Structure: a crystal structure in Alexandria, relaxed with PBE.
Lines closer than 0.1° are merged.

Structure:
Cell: 4.9958 8.6011 8.7421 Å, 90.00 90.00 90.00°
Space group Fmmm (No. 69)
Unique sites:
1 Ta 0.0000 0.0000 0.1612 [8 per cell]
2 Nb 0.0000 0.1599 0.5000 [8 per cell]
3 Co 0.2500 0.2500 0.2500 [8 per cell]

Peak list (10 most intense, 2θ = 10–90°, in order of rising 2θ)
hkl, d [Å], 2theta, I (rel.)
2 0 0, 2.498, 35.95, 24
1 1 3, 2.416, 37.22, 100
1 3 1, 2.392, 37.61, 66
2 2 0, 2.160, 41.82, 28
0 2 4, 1.948, 46.62, 22
2 2 2, 1.936, 46.92, 32
0 4 2, 1.929, 47.10, 20
3 1 3, 1.426, 65.46, 19
1 5 3, 1.421, 65.74, 28
2 4 4, 1.306, 72.33, 14


Record 5
This entry pairs a crystal structure of NbCoTe2 with its computed PXRD pattern. Radiation: Cu Kα (weighted mean of Kα1 and Kα2). Structure: a crystal structure in Alexandria, relaxed with PBE.
Lines closer than 0.1° are merged.

Structure:
Cell: 7.7951 15.3474 6.3753 Å, 90.00 90.00 90.00°
Space group Cmce (No. 64)
Unique sites:
1 Nb 0.2065 0.0000 0.0000 [8 per cell]
2 Co 0.0000 0.0555 0.3559 [8 per cell]
3 Te 0.0000 0.1081 0.7440 [8 per cell]
4 Te 0.2500 0.1533 0.2500 [8 per cell]

Peak list (10 most intense, 2θ = 10–90°, in order of rising 2θ)
hkl, d [Å], 2theta, I (rel.)
0 2 0, 7.674, 11.53, 88
0 0 2, 3.188, 27.99, 18
2 2 1, 3.051, 29.27, 100
0 4 2, 2.452, 36.65, 58
3 1 1, 2.376, 37.86, 18
2 2 2, 2.349, 38.32, 30
2 6 0, 2.138, 42.26, 38
2 6 1, 2.027, 44.70, 30
4 0 0, 1.949, 46.61, 20
2 2 3, 1.813, 50.33, 33


Record 6
This entry pairs a crystal structure of Ti3NbCo2 with its computed PXRD pattern. Radiation: Cu Kα (weighted mean of Kα1 and Kα2). Structure: a crystal structure in Alexandria, relaxed with PBE.
Lines closer than 0.1° are merged.

Structure:
Cell: 3.0099 3.0099 9.6815 Å, 90.00 90.00 90.00°
Space group P4/mmm (No. 123)
Unique sites:
1 Ti 0.0000 0.0000 0.0000 [1 per cell]
2 Ti 0.0000 0.0000 0.3013 [2 per cell]
3 Nb 0.5000 0.5000 0.5000 [1 per cell]
4 Co 0.5000 0.5000 0.1485 [2 per cell]

Peak list (10 most intense, 2θ = 10–90°, in order of rising 2θ)
hkl, d [Å], 2theta, I (rel.)
0 0 3, 3.227, 27.64, 5
1 0 0, 3.010, 29.68, 6
1 0 2, 2.556, 35.11, 11
1 0 3, 2.201, 41.00, 100
1 1 0, 2.128, 42.47, 52
0 0 6, 1.614, 57.08, 6
2 0 0, 1.505, 61.63, 16
1 1 6, 1.286, 73.68, 10
2 1 3, 1.242, 76.71, 28
2 0 6, 1.101, 88.93, 6


Record 7
This entry pairs a crystal structure of TiNbCo6 with its computed PXRD pattern. Radiation: Cu Kα (weighted mean of Kα1 and Kα2). Structure: a crystal structure in Alexandria, relaxed with PBE.
Lines closer than 0.1° are merged.

Structure:
Cell: 7.2617 10.2646 10.2658 Å, 90.00 90.00 90.00°
Space group Cmmm (No. 65)
Unique sites:
1 Ti 0.0000 0.0000 0.2491 [4 per cell]
2 Ti 0.0000 0.2531 0.0000 [4 per cell]
3 Nb 0.0000 0.2520 0.5000 [4 per cell]
4 Nb 0.0000 0.5000 0.2485 [4 per cell]
5 Co 0.0000 0.0000 0.0000 [2 per cell]
6 Co 0.0000 0.0000 0.5000 [2 per cell]
7 Co 0.0000 0.2482 0.2475 [8 per cell]
8 Co 0.0000 0.5000 0.0000 [2 per cell]
9 Co 0.0000 0.5000 0.5000 [2 per cell]
10 Co 0.2473 0.1240 0.3735 [16 per cell]
11 Co 0.2469 0.1261 0.1235 [16 per cell]

Peak list (10 most intense, 2θ = 10–90°, in order of rising 2θ)
hkl, d [Å], 2theta, I (rel.)
1 1 0, 5.928, 14.94, 1
0 2 1, 4.591, 19.34, 1
1 1 2, 3.880, 22.92, 1
0 2 3, 2.848, 31.42, 1
1 3 2, 2.651, 33.82, 1
3 1 0, 2.356, 38.21, 1
2 4 0, 2.096, 43.17, 100
4 0 0, 1.815, 50.27, 47
4 4 4, 1.283, 73.84, 27
6 4 0, 1.094, 89.56, 32


Record 8
This entry pairs a crystal structure of Ti3NbCo3 with its computed PXRD pattern. Radiation: Cu Kα (weighted mean of Kα1 and Kα2). Structure: a crystal structure in Alexandria, relaxed with PBE.
Lines closer than 0.1° are merged.

Structure:
Cell: 8.0410 8.9473 5.6831 Å, 90.00 100.45 90.00°
Space group C2/m (No. 12)
Unique sites:
1 Ti 0.0523 0.0000 0.2793 [4 per cell]
2 Ti 0.2454 0.2050 0.7405 [8 per cell]
3 Nb 0.1262 0.5000 0.8771 [4 per cell]
4 Co 0.0000 0.2181 0.0000 [4 per cell]
5 Co 0.0000 0.2687 0.5000 [4 per cell]
6 Co 0.1572 0.5000 0.4541 [4 per cell]

Peak list (10 most intense, 2θ = 10–90°, in order of rising 2θ)
hkl, d [Å], 2theta, I (rel.)
1 1 0, 5.925, 14.95, 21
3 1 0, 2.528, 35.50, 26
3 1 -1, 2.471, 36.36, 12
1 3 1, 2.435, 36.91, 36
1 1 2, 2.405, 37.40, 23
0 4 0, 2.237, 40.32, 42
2 2 -2, 2.186, 41.29, 100
2 0 2, 2.109, 42.88, 26
1 3 2, 1.914, 47.50, 12
4 2 0, 1.808, 50.47, 37


Record 9
This entry pairs a crystal structure of Ti3NbCo4 with its computed PXRD pattern. Radiation: Cu Kα (weighted mean of Kα1 and Kα2). Structure: a crystal structure in Alexandria, relaxed with PBE.
Lines closer than 0.1° are merged.

Structure:
Cell: 8.4540 5.7470 4.4337 Å, 90.00 90.00 90.00°
Space group Pmma (No. 51)
Unique sites:
1 Ti 0.0000 0.0000 0.0000 [2 per cell]
2 Ti 0.2500 0.0000 0.4571 [2 per cell]
3 Ti 0.2500 0.5000 0.4608 [2 per cell]
4 Nb 0.0000 0.5000 0.0000 [2 per cell]
5 Co 0.0000 0.2471 0.5000 [4 per cell]
6 Co 0.2500 0.2458 0.9206 [4 per cell]

Peak list (10 most intense, 2θ = 10–90°, in order of rising 2θ)
hkl, d [Å], 2theta, I (rel.)
0 0 2, 2.217, 40.70, 24
1 0 2, 2.144, 42.14, 6
4 0 0, 2.113, 42.79, 28
2 2 1, 2.095, 43.19, 100
4 0 2, 1.530, 60.53, 14
0 4 0, 1.437, 64.90, 7
2 2 3, 1.255, 75.80, 9
6 2 1, 1.217, 78.65, 15
0 4 2, 1.206, 79.50, 6
4 4 0, 1.188, 80.90, 8


Record 10
This entry pairs a crystal structure of NbV2Co4 with its computed PXRD pattern. Radiation: Cu Kα (weighted mean of Kα1 and Kα2). Structure: a crystal structure in Alexandria, relaxed with PBE.
Lines closer than 0.1° are merged.

Structure:
Cell: 4.5114 4.5114 11.5278 Å, 90.00 90.00 90.00°
Space group I4/mmm (No. 139)
Unique sites:
1 Nb 0.0000 0.0000 0.0000 [2 per cell]
2 V 0.0000 0.0000 0.4078 [4 per cell]
3 Co 0.0000 0.0000 0.2040 [4 per cell]
4 Co 0.0000 0.5000 0.0000 [4 per cell]

Peak list (10 most intense, 2θ = 10–90°, in order of rising 2θ)
hkl, d [Å], 2theta, I (rel.)
0 0 2, 5.764, 15.37, 72
1 1 0, 3.190, 27.97, 53
0 0 4, 2.882, 31.03, 21
2 0 0, 2.256, 39.97, 100
2 0 2, 2.101, 43.06, 20
1 0 5, 2.053, 44.11, 75
2 0 4, 1.776, 51.44, 19
2 2 0, 1.595, 57.81, 31
2 1 5, 1.518, 61.03, 53
3 2 5, 1.100, 89.02, 18


Record 11
This entry pairs a crystal structure of NbCo6W with its computed PXRD pattern. Radiation: Cu Kα (weighted mean of Kα1 and Kα2). Structure: a crystal structure in Alexandria, relaxed with PBE.
Lines closer than 0.1° are merged.

Structure:
Cell: 7.2429 10.2355 10.2360 Å, 90.00 90.00 90.00°
Space group Cmmm (No. 65)
Unique sites:
1 Nb 0.0000 0.0000 0.2491 [4 per cell]
2 Nb 0.0000 0.2485 0.0000 [4 per cell]
3 Co 0.0000 0.0000 0.0000 [2 per cell]
4 Co 0.0000 0.0000 0.5000 [2 per cell]
5 Co 0.0000 0.2520 0.2538 [8 per cell]
6 Co 0.0000 0.5000 0.0000 [2 per cell]
7 Co 0.0000 0.5000 0.5000 [2 per cell]
8 Co 0.2464 0.3759 0.1272 [16 per cell]
9 Co 0.2467 0.3740 0.3772 [16 per cell]
10 W 0.0000 0.2481 0.5000 [4 per cell]
11 W 0.0000 0.5000 0.2488 [4 per cell]

Peak list (10 most intense, 2θ = 10–90°, in order of rising 2θ)
hkl, d [Å], 2theta, I (rel.)
1 1 0, 5.912, 14.98, 3
2 0 0, 3.620, 24.59, 18
2 2 2, 2.560, 35.06, 15
2 4 0, 2.090, 43.29, 100
4 0 0, 1.810, 50.42, 47
4 2 2, 1.619, 56.88, 8
4 0 4, 1.478, 62.89, 6
0 8 0, 1.280, 74.08, 28
6 0 0, 1.207, 79.42, 4
6 4 0, 1.091, 89.88, 34


Record 12
This entry pairs a crystal structure of YNbCo2 with its computed PXRD pattern. Radiation: Cu Kα (weighted mean of Kα1 and Kα2). Structure: a crystal structure in Alexandria, relaxed with PBE.
Lines closer than 0.1° are merged.

Structure:
Cell: 3.1293 3.1293 6.7913 Å, 90.00 90.00 90.00°
Space group P4/mmm (No. 123)
Unique sites:
1 Y 0.0000 0.0000 0.0000 [1 per cell]
2 Nb 0.0000 0.0000 0.5000 [1 per cell]
3 Co 0.5000 0.5000 0.3017 [2 per cell]

Peak list (10 most intense, 2θ = 10–90°, in order of rising 2θ)
hkl, d [Å], 2theta, I (rel.)
0 0 1, 6.791, 13.04, 10
0 0 2, 3.396, 26.24, 7
1 0 2, 2.301, 39.15, 100
1 1 0, 2.213, 40.78, 53
1 0 3, 1.834, 49.71, 7
2 0 0, 1.565, 59.04, 17
1 0 4, 1.492, 62.21, 7
1 1 4, 1.347, 69.82, 10
2 1 2, 1.294, 73.14, 29
2 0 4, 1.151, 84.14, 6